For BaNaMnCl6, the GGA-PBE geometry in Alexandria gives the simulated powder XRD pattern in this record (λ = 1.5418 Å (Cu Kα)).
Intensities are scaled so that the largest is 100.

Structure:
```
BaNaMnCl6
1.0
6.564 0.000 0.000
-0.147 6.704 0.000
-0.137 -2.954 6.026
Ba Na Mn Cl
1 1 1 6
Cartesian
0.000 0.000 0.000 Ba
3.141 0.098 4.125 Na
3.146 3.456 2.028 Mn
1.467 4.608 3.721 Cl
1.848 1.540 2.084 Cl
1.882 4.248 0.266 Cl
4.407 5.389 2.101 Cl
4.450 2.553 3.716 Cl
4.827 2.458 0.239 Cl
```

Peak list (10 most intense, 2θ from 5° to 70°, low angle first)
| (hkl) | two_theta | I_rel |
| --- | --- | --- |
| 0 1 0 | 14.71 | 43 |
| 1 0 -1 | 19.67 | 100 |
| 1 0 1 | 20.35 | 94 |
| 1 -1 1 | 20.66 | 81 |
| 1 -2 1 | 29.72 | 83 |
| 0 2 -2 | 31.48 | 38 |
| -2 1 1 | 36.56 | 44 |
| 2 1 -2 | 38.07 | 42 |
| 2 -1 2 | 38.81 | 67 |
| 0 3 0 | 45.16 | 44 |